# 1
For Na6ZnS4, a DFT-relaxed cell (PBE, Alexandria) gives the computed powder XRD pattern in this record (Cu Kα X-rays).
Kinematic intensities with the Lorentz-polarization factor, no thermal factor.

Most intense lines, 2θ from 5° to 70°, in order of falling intensity:
2theta  Rel. int.
40.19  100
33.13  74
11.38  74
17.16  67
34.72  66
45.75  31
22.88  27
40.82  25
37.05  21
32.69  20

Structural model:
```
data_Na6ZnS4
_chemical_formula_sum 'Na12 Zn2 S8'
_symmetry_space_group_name_H-M 'P 1'
_symmetry_Int_Tables_number 1
_symmetry_space_group_name_Hall 'P 1'
_cell_length_a 8.9760
_cell_length_b 8.9760
_cell_length_c 6.9181
_cell_angle_alpha 90.00
_cell_angle_beta 90.00
_cell_angle_gamma 120.00
loop_
_atom_site_label
_atom_site_type_symbol
_atom_site_fract_x
_atom_site_fract_y
_atom_site_fract_z
Na1 Na 0.0618 0.5309 0.0000
Na2 Na 0.1478 0.2956 0.6722
Na3 Na 0.1478 0.8522 0.6722
Na4 Na 0.2956 0.1478 0.1722
Na5 Na 0.4691 0.5309 0.0000
Na6 Na 0.4691 0.9382 0.0000
Na7 Na 0.5309 0.0618 0.5000
Na8 Na 0.5309 0.4691 0.5000
Na9 Na 0.7044 0.8522 0.6722
Na10 Na 0.8522 0.1478 0.1722
Na11 Na 0.8522 0.7044 0.1722
Na12 Na 0.9382 0.4691 0.5000
Zn1 Zn 0.3333 0.6667 0.3818
Zn2 Zn 0.6667 0.3333 0.8818
S1 S 0.1877 0.3754 0.2754
S2 S 0.1877 0.8123 0.2754
S3 S 0.3333 0.6667 0.7275
S4 S 0.3754 0.1877 0.7754
S5 S 0.6246 0.8123 0.2754
S6 S 0.6667 0.3333 0.2275
S7 S 0.8123 0.1877 0.7754
S8 S 0.8123 0.6246 0.7754
```

# 2
For Na2ZnS2, a DFT-relaxed cell (PBE, Alexandria) gives the computed powder XRD pattern in this record (Cu Kα X-rays).
Kinematic intensities with the Lorentz-polarization factor, no thermal factor.

Most intense lines, 2θ from 5° to 70°, in order of falling intensity:
2theta  Rel. int.
15.86  100
44.47  44
34.11  37
41.24  34
42.80  33
27.65  30
32.54  15
53.15  13
32.02  12
58.42  10

Structural model:
```
data_Na2ZnS2
_chemical_formula_sum 'Na4 Zn2 S4'
_symmetry_space_group_name_H-M 'P 1'
_symmetry_Int_Tables_number 1
_symmetry_space_group_name_Hall 'P 1'
_cell_length_a 7.1058
_cell_length_b 7.1058
_cell_length_c 7.1058
_cell_angle_alpha 125.93
_cell_angle_beta 76.38
_cell_angle_gamma 130.45
loop_
_atom_site_label
_atom_site_type_symbol
_atom_site_fract_x
_atom_site_fract_y
_atom_site_fract_z
Na1 Na 0.1420 0.1507 0.2927
Na2 Na 0.3580 0.6507 0.0087
Na3 Na 0.6420 0.3493 0.9913
Na4 Na 0.8580 0.8493 0.7073
Zn1 Zn 0.2500 0.7500 0.5000
Zn2 Zn 0.7500 0.2500 0.5000
S1 S 0.1114 0.7136 0.8250
S2 S 0.3886 0.2136 0.6023
S3 S 0.6114 0.7864 0.3977
S4 S 0.8886 0.2864 0.1750
```